The following is a calculated powder X-ray diffraction pattern of Tm4BiP. It was derived from the GGA-PBE geometry in Alexandria, using CuKα.

Cell and atoms:
Cell lengths 5.773, 11.275, 5.779 Å; angles 90.00, 90.09, 90.00 degrees
Sites, in units of the cell vectors:
Tm (0.217, 0.250, 0.249)
Tm (0.234, 0.017, 0.735)
Tm (0.234, 0.483, 0.735)
Tm (0.251, 0.750, 0.283)
Tm (0.749, 0.250, 0.717)
Tm (0.766, 0.517, 0.265)
Tm (0.766, 0.983, 0.265)
Tm (0.783, 0.750, 0.751)
Bi (0.285, 0.750, 0.785)
Bi (0.715, 0.250, 0.215)
P (0.239, 0.250, 0.739)
P (0.761, 0.750, 0.261)

Most intense lines, 2θ = 10–90°, by angle:
2theta	d [Å]	intensity
15.7	5.638	20
17.2	5.141	19
27.0	3.307	69
28.3	3.150	25
31.0	2.888	100
31.7	2.819	48
44.4	2.042	34
44.9	2.017	68
52.7	1.738	22
55.6	1.654	33